For Li6Co2O7, a structure optimized by DFT (PBE+U) gives the simulated powder diffraction line list in this record (Cu Kα, 1.54184 Å).

Principal peaks in the range 2θ from 5° to 70°, by angle:
d [Å]  I_rel  (hkl)
5.364  100  0 0 1
4.812  48  0 1 0
4.124  16  1 0 1
3.542  21  0 1 1
3.036  15  1 -1 0
2.765  15  1 1 -1
2.011  27  2 1 2
1.979  26  1 -2 0
1.972  25  1 1 -2
1.403  13  1 0 4

Structural model:
```
data_Li6Co2O7
_cell_length_a 4.8649
_cell_length_b 4.9051
_cell_length_c 5.6149
_cell_angle_alpha 87.99
_cell_angle_beta 72.87
_cell_angle_gamma 78.92
_space_group_name_H-M_alt 'P 1'
_space_group_IT_number 1
loop_
_space_group_symop_operation_xyz
'x,y,z'
loop_
_atom_site_label
_atom_site_type_symbol
_atom_site_fract_x
_atom_site_fract_y
_atom_site_fract_z
_atom_site_occupancy
Li1 Li 0.2188 0.3631 0.3008 1
Li2 Li 0.2318 0.3704 0.8294 1
Li3 Li 0.2349 0.9180 0.5593 1
Li4 Li 0.7651 0.0820 0.4407 1
Li5 Li 0.7682 0.6296 0.1706 1
Li6 Li 0.7812 0.6369 0.6992 1
Co1 Co 0.2517 0.8711 0.0663 1
Co2 Co 0.7483 0.1289 0.9337 1
O1 O 0.0091 0.7853 0.8810 1
O2 O 0.0348 0.7385 0.3572 1
O3 O 0.4996 0.0015 0.7703 1
O4 O 0.5000 0.5000 0.0000 1
O5 O 0.5004 0.9985 0.2297 1
O6 O 0.9652 0.2615 0.6428 1
O7 O 0.9909 0.2147 0.1190 1
```